No. 1
This entry pairs a crystal structure of Cd2Ag3Os with its calculated PXRD pattern. Radiation: copper Kα. Structure: a DFT-relaxed cell (GGA-PBE, OQMD).
Kinematic intensities with the Lorentz-polarization factor, no thermal factor.

Atomic structure:
```
data_Cd2Ag3Os
_chemical_formula_sum 'Cd2 Ag3 Os1'
_symmetry_space_group_name_H-M 'P 6/m m m'
_symmetry_Int_Tables_number 191
_symmetry_space_group_name_Hall '-P 6 2'
_cell_length_a 5.3556
_cell_length_b 5.3556
_cell_length_c 4.7868
_cell_angle_alpha 90.00
_cell_angle_beta 90.00
_cell_angle_gamma 120.00
loop_
_atom_site_label
_atom_site_type_symbol
_atom_site_fract_x
_atom_site_fract_y
_atom_site_fract_z
Cd1 Cd 0.3333 0.6667 0.0000
Ag1 Ag 0.0000 0.5000 0.5000
Os1 Os 0.0000 0.0000 0.0000
```

Top 6 peaks for 10° ≤ 2θ ≤ 90°, in order of rising 2θ:
d/Å	I_rel	h k l
3.331	315	1 0 1
2.678	242	1 1 0
2.393	363	0 0 2
2.337	1000	1 1 1
2.319	293	2 0 0
1.471	225	3 0 1

---

No. 2
This entry pairs a crystal structure of Cd3AgPS6 with its calculated PXRD pattern. Radiation: copper Kα. Structure: a DFT-relaxed cell (GGA-PBE, OQMD).
Kinematic intensities with the Lorentz-polarization factor, no thermal factor.

Atomic structure:
```
data_Cd3AgPS6
_chemical_formula_sum 'Cd12 Ag4 P4 S24'
_symmetry_space_group_name_H-M 'C 1 c 1'
_symmetry_Int_Tables_number 9
_cell_length_a 12.4103
_cell_length_b 7.1738
_cell_length_c 12.4215
_cell_angle_alpha 90.00
_cell_angle_beta 110.81
_cell_angle_gamma 90.00
loop_
_symmetry_equiv_pos_as_xyz
'x,y,z'
'x,-y,z+1/2'
'x+1/2,y+1/2,z'
'x+1/2,-y+1/2,z+1/2'
loop_
_atom_site_label
_atom_site_type_symbol
_atom_site_fract_x
_atom_site_fract_y
_atom_site_fract_z
Cd1 Cd 0.0000 0.0617 0.0000
Cd2 Cd 0.3237 0.3635 0.6990
Cd3 Cd 0.3555 0.0919 0.0059
Ag1 Ag 0.1400 0.2965 0.3475
P1 P 0.0758 0.2301 0.7589
S1 S 0.1177 0.4643 0.6852
S2 S 0.1454 0.0009 0.2119
S3 S 0.1447 0.2592 0.9368
S4 S 0.3305 0.2532 0.5106
S5 S 0.3987 0.2680 0.2085
S6 S 0.4569 0.2589 0.8915
```

Top 6 peaks for 10° ≤ 2θ ≤ 90°, in order of rising 2θ:
d/Å	I_rel	h k l
3.584	850	3 1 -1
3.525	652	2 0 2
3.444	1000	3 1 -2
3.427	810	0 2 1
2.936	580	2 2 -2
2.901	576	0 0 4

---

No. 3
This entry pairs a crystal structure of Pr3Cd3Ag2Pt with its calculated PXRD pattern. Radiation: copper Kα. Structure: a DFT-relaxed cell (GGA-PBE, OQMD).
Kinematic intensities with the Lorentz-polarization factor, no thermal factor.

Atomic structure:
```
data_Pr3Cd3Ag2Pt
_chemical_formula_sum 'Pr3 Cd3 Ag2 Pt1'
_symmetry_space_group_name_H-M 'P -6 2 m'
_symmetry_Int_Tables_number 189
_symmetry_space_group_name_Hall 'P -6 -2'
_cell_length_a 7.7913
_cell_length_b 7.7913
_cell_length_c 4.2038
_cell_angle_alpha 90.00
_cell_angle_beta 90.00
_cell_angle_gamma 120.00
loop_
_atom_site_label
_atom_site_type_symbol
_atom_site_fract_x
_atom_site_fract_y
_atom_site_fract_z
Pr1 Pr 0.0000 0.6066 0.0000
Cd1 Cd 0.0000 0.2502 0.5000
Ag1 Ag 0.3333 0.6667 0.5000
Pt1 Pt 0.0000 0.0000 0.0000
```

Top 6 peaks for 10° ≤ 2θ ≤ 90°, in order of rising 2θ:
d/Å	I_rel	h k l
2.857	987	1 1 1
2.631	1000	2 0 1
2.550	397	2 1 0
2.249	514	3 0 0
2.180	483	2 1 1
1.453	373	3 2 1